Structure and computed PXRD pattern of Gd2PPd8 (a DFT-relaxed cell (GGA-PBE, OQMD); Cu Kα (weighted mean of Kα1 and Kα2)).
No peak broadening, texture or thermal motion is included.

Peak list (8 most intense, 2θ = 5–70°, in order of falling intensity)
- 2θ = 37.2°, I = 100, (1 5 1)
- 2θ = 39.8°, I = 52, (1 0 2)
- 2θ = 41.5°, I = 37, (2 0 0)
- 2θ = 30.8°, I = 33, (0 5 1)
- 2θ = 33.8°, I = 18, (0 0 2)
- 2θ = 41.7°, I = 13, (0 8 0)
- 2θ = 58.9°, I = 13, (2 4 2)
- 2θ = 27.0°, I = 10, (1 1 1)

Crystal structure
a b c (Å): 4.3562 17.3211 5.3015
angles (deg): 90.00 90.00 90.00
Space group Amm2 (No. 38)
Asymmetric unit:
Gd 0.0000 0.1236 0.0000 [4 per cell]
P 0.5000 0.0000 0.2496 [2 per cell]
Pd 0.0000 0.0000 0.4611 [2 per cell]
Pd 0.0000 0.2028 0.5031 [4 per cell]
Pd 0.5000 0.0000 0.8308 [2 per cell]
Pd 0.5000 0.1120 0.4700 [4 per cell]
Pd 0.5000 0.2354 0.7906 [4 per cell]

***

Structure and computed PXRD pattern of Ta2Te5 (a DFT-relaxed cell (GGA-PBE, OQMD); Cu Kα (weighted mean of Kα1 and Kα2)).
No peak broadening, texture or thermal motion is included.

Peak list (8 most intense, 2θ = 5–70°, in order of falling intensity)
- 2θ = 30.1°, I = 100, (5 1 0)
- 2θ = 29.3°, I = 89, (2 2 -1)
- 2θ = 17.8°, I = 81, (1 1 -1)
- 2θ = 45.0°, I = 78, (3 3 1)
- 2θ = 30.2°, I = 68, (1 1 2)
- 2θ = 39.8°, I = 59, (7 1 -1)
- 2θ = 40.0°, I = 49, (1 1 -3)
- 2θ = 39.2°, I = 42, (4 2 -2)

Crystal structure
a b c (Å): 16.8043 7.0685 7.1718
angles (deg): 90.00 103.65 90.00
Space group C2/c (No. 15)
Asymmetric unit:
Ta 0.1522 0.2403 0.3253 [8 per cell]
Te 0.0000 0.4073 0.2500 [4 per cell]
Te 0.1029 0.0849 0.9572 [8 per cell]
Te 0.1944 0.3967 0.6852 [8 per cell]

***

Structure and computed PXRD pattern of InRe3Sb5 (a DFT-relaxed cell (GGA-PBE, OQMD); Cu Kα (weighted mean of Kα1 and Kα2)).
No peak broadening, texture or thermal motion is included.

Peak list (8 most intense, 2θ = 5–70°, in order of falling intensity)
- 2θ = 43.6°, I = 100, (0 0 4)
- 2θ = 10.7°, I = 83, (0 0 1)
- 2θ = 39.1°, I = 57, (2 0 1)
- 2θ = 32.3°, I = 49, (0 0 3)
- 2θ = 37.5°, I = 31, (2 0 0)
- 2θ = 28.4°, I = 20, (1 0 2)
- 2θ = 67.7°, I = 19, (2 2 0)
- 2θ = 21.4°, I = 19, (0 0 2)

Crystal structure
a b c (Å): 5.5363 5.5363 8.3059
angles (deg): 90.00 90.00 120.00
Space group P6/mmm (No. 191)
Asymmetric unit:
In 0.0000 0.0000 0.0000 [1 per cell]
Re 0.0000 0.5000 0.5000 [3 per cell]
Sb 0.0000 0.0000 0.5000 [1 per cell]
Sb 0.3333 0.6667 0.2169 [4 per cell]

***

Structure and computed PXRD pattern of ZnMo4PC2 (a DFT-relaxed cell (GGA-PBE, OQMD); Cu Kα (weighted mean of Kα1 and Kα2)).
No peak broadening, texture or thermal motion is included.

Peak list (8 most intense, 2θ = 5–70°, in order of falling intensity)
- 2θ = 39.8°, I = 100, (1 0 3)
- 2θ = 33.3°, I = 26, (1 0 0)
- 2θ = 59.6°, I = 23, (1 1 0)
- 2θ = 43.1°, I = 11, (0 0 6)
- 2θ = 69.2°, I = 10, (1 0 8)
- 2θ = 55.6°, I = 10, (1 0 6)
- 2θ = 34.1°, I = 9, (1 0 1)
- 2θ = 36.3°, I = 9, (1 0 2)

Crystal structure
a b c (Å): 3.1029 3.1029 12.5945
angles (deg): 90.00 90.00 120.00
Space group P-6m2 (No. 187)
Asymmetric unit:
Zn 0.0000 0.0000 0.0000 [1 per cell]
Mo 0.0000 0.0000 0.3602 [2 per cell]
Mo 0.3333 0.6667 0.1751 [2 per cell]
P 0.3333 0.6667 0.5000 [1 per cell]
C 0.6667 0.3333 0.2606 [2 per cell]

***

Structure and computed PXRD pattern of Hf3ZrSb2C2 (a DFT-relaxed cell (GGA-PBE, OQMD); Cu Kα (weighted mean of Kα1 and Kα2)).
No peak broadening, texture or thermal motion is included.

Peak list (8 most intense, 2θ = 5–70°, in order of falling intensity)
- 2θ = 36.0°, I = 100, (0 1 3)
- 2θ = 30.2°, I = 25, (1 0 0)
- 2θ = 53.6°, I = 22, (1 1 0)
- 2θ = 68.1°, I = 20, (1 1 6)
- 2θ = 38.8°, I = 17, (0 0 6)
- 2θ = 66.2°, I = 17, (2 0 3)
- 2θ = 68.5°, I = 15, (0 1 9)
- 2θ = 49.9°, I = 14, (1 0 6)

Crystal structure
a b c (Å): 3.4217 3.4217 13.9112
angles (deg): 90.00 90.00 120.00
Space group P3m1 (No. 156)
Asymmetric unit:
Hf 0.0000 0.0000 0.0000 [1 per cell]
Hf 0.0000 0.0000 0.3258 [1 per cell]
Hf 0.6667 0.3333 0.4974 [1 per cell]
Zr 0.6667 0.3333 0.8254 [1 per cell]
Sb 0.0000 0.0000 0.6600 [1 per cell]
Sb 0.6667 0.3333 0.1631 [1 per cell]
C 0.3333 0.6667 0.4116 [1 per cell]
C 0.3333 0.6667 0.9165 [1 per cell]

***

Structure and computed PXRD pattern of Pu2Cd2As3P (a DFT-relaxed cell (GGA-PBE, OQMD); Cu Kα (weighted mean of Kα1 and Kα2)).
No peak broadening, texture or thermal motion is included.

Peak list (8 most intense, 2θ = 5–70°, in order of falling intensity)
- 2θ = 35.0°, I = 100, (2 2 0)
- 2θ = 28.7°, I = 92, (1 1 -2)
- 2θ = 36.6°, I = 77, (3 1 -2)
- 2θ = 38.8°, I = 63, (1 1 2)
- 2θ = 46.6°, I = 51, (1 3 -2)
- 2θ = 25.2°, I = 44, (0 2 0)
- 2θ = 23.9°, I = 27, (2 0 0)
- 2θ = 26.0°, I = 20, (1 1 1)

Crystal structure
a b c (Å): 8.4037 7.0801 6.9383
angles (deg): 90.00 117.82 90.00
Space group C2 (No. 5)
Asymmetric unit:
Pu 0.2202 0.0000 0.3503 [4 per cell]
Cd 0.2439 0.0092 0.8646 [4 per cell]
As 0.0000 0.7947 0.5000 [2 per cell]
As 0.0120 0.3259 0.7458 [4 per cell]
P 0.0000 0.7970 0.0000 [2 per cell]

***

Structure and computed PXRD pattern of TbErZn2Si2 (a DFT-relaxed cell (GGA-PBE, OQMD); Cu Kα (weighted mean of Kα1 and Kα2)).
No peak broadening, texture or thermal motion is included.

Peak list (8 most intense, 2θ = 5–70°, in order of falling intensity)
- 2θ = 33.9°, I = 100, (1 0 4)
- 2θ = 43.8°, I = 38, (1 1 0)
- 2θ = 24.9°, I = 30, (1 0 0)
- 2θ = 56.5°, I = 23, (2 0 4)
- 2θ = 65.5°, I = 20, (1 1 8)
- 2θ = 46.1°, I = 10, (0 0 8)
- 2θ = 53.1°, I = 9, (1 0 8)
- 2θ = 51.1°, I = 5, (2 0 0)

Crystal structure
a b c (Å): 4.1304 4.1304 15.7486
angles (deg): 90.00 90.00 120.00
Space group P6_3/mmc (No. 194)
Asymmetric unit:
Tb 0.0000 0.0000 0.0000 [2 per cell]
Er 0.0000 0.0000 0.2500 [2 per cell]
Zn 0.3333 0.6667 0.1377 [4 per cell]
Si 0.3333 0.6667 0.6205 [4 per cell]

***

Structure and computed PXRD pattern of MoSe3SBr (a DFT-relaxed cell (GGA-PBE, OQMD); Cu Kα (weighted mean of Kα1 and Kα2)).
No peak broadening, texture or thermal motion is included.

Peak list (8 most intense, 2θ = 5–70°, in order of falling intensity)
- 2θ = 12.7°, I = 100, (0 1 -1)
- 2θ = 13.2°, I = 85, (0 1 0)
- 2θ = 26.3°, I = 31, (1 -2 0)
- 2θ = 28.9°, I = 28, (1 2 -1)
- 2θ = 28.5°, I = 24, (2 0 -1)
- 2θ = 35.5°, I = 23, (2 -2 1)
- 2θ = 47.5°, I = 22, (0 2 2)
- 2θ = 42.9°, I = 20, (2 -1 2)

Crystal structure
a b c (Å): 6.3480 8.0141 8.1890
angles (deg): 118.55 104.72 97.79
Space group P-1 (No. 2)
Asymmetric unit:
Mo 0.2229 0.0001 0.9995 [2 per cell]
Se 0.0213 0.8411 0.1466 [2 per cell]
Se 0.1275 0.3120 0.2256 [2 per cell]
Se 0.3925 0.9188 0.7120 [2 per cell]
S 0.4671 0.7825 0.0143 [2 per cell]
Br 0.2602 0.3696 0.5950 [2 per cell]

***

Structure and computed PXRD pattern of ZnGa4 (a DFT-relaxed cell (GGA-PBE, OQMD); Cu Kα (weighted mean of Kα1 and Kα2)).
No peak broadening, texture or thermal motion is included.

Peak list (8 most intense, 2θ = 5–70°, in order of falling intensity)
- 2θ = 37.1°, I = 100, (1 1 2)
- 2θ = 40.0°, I = 98, (2 1 1)
- 2θ = 36.2°, I = 60, (2 0 1)
- 2θ = 33.0°, I = 47, (1 0 2)
- 2θ = 46.6°, I = 32, (1 0 3)
- 2θ = 47.5°, I = 29, (2 1 2)
- 2θ = 55.7°, I = 21, (3 1 1)
- 2θ = 63.8°, I = 14, (3 2 1)

Crystal structure
a b c (Å): 5.4079 5.4079 6.2669
angles (deg): 90.00 90.00 90.00
Space group P-42_1c (No. 114)
Asymmetric unit:
Zn 0.0000 0.0000 0.0000 [2 per cell]
Ga 0.0906 0.2649 0.6505 [8 per cell]

***

Structure and computed PXRD pattern of Sr3Ta7SiBi9O36 (a DFT-relaxed cell (GGA-PBE, OQMD); Cu Kα (weighted mean of Kα1 and Kα2)).
No peak broadening, texture or thermal motion is included.

Peak list (8 most intense, 2θ = 5–70°, in order of falling intensity)
- 2θ = 29.1°, I = 100, (1 1 -5)
- 2θ = 32.7°, I = 73, (0 2 0)
- 2θ = 29.3°, I = 48, (-1 1 5)
- 2θ = 29.5°, I = 46, (1 1 5)
- 2θ = 36.3°, I = 21, (0 0 10)
- 2θ = 46.8°, I = 19, (2 -2 0)
- 2θ = 46.9°, I = 19, (2 2 0)
- 2θ = 56.0°, I = 17, (1 -3 5)

Crystal structure
a b c (Å): 5.4810 5.4841 24.7734
angles (deg): 90.72 90.40 90.15
Space group P1 (No. 1)
Asymmetric unit:
Sr 0.0000 0.0000 0.0000 [1 per cell]
Sr 0.0094 0.5089 0.5048 [1 per cell]
Sr 0.5058 0.0073 0.5048 [1 per cell]
Ta 0.0008 0.4921 0.0891 [1 per cell]
Ta 0.0063 0.9908 0.4190 [1 per cell]
Ta 0.0114 0.9967 0.5915 [1 per cell]
Ta 0.4984 0.0000 0.9180 [1 per cell]
Ta 0.5069 0.4953 0.5920 [1 per cell]
Ta 0.5075 0.9945 0.0897 [1 per cell]
Ta 0.5083 0.4908 0.4197 [1 per cell]
Si 0.9941 0.4879 0.9223 [1 per cell]
Bi 0.0299 0.5314 0.7090 [1 per cell]
Bi 0.0363 0.5446 0.3063 [1 per cell]
Bi 0.4793 0.5328 0.9934 [1 per cell]
Bi 0.4854 0.0261 0.7094 [1 per cell]
Bi 0.4850 0.0498 0.3067 [1 per cell]
Bi 0.5307 0.5313 0.2049 [1 per cell]
Bi 0.5436 0.5462 0.8107 [1 per cell]
Bi 0.9871 0.0267 0.2050 [1 per cell]
Bi 0.9938 0.0633 0.8129 [1 per cell]
O 0.0546 0.4838 0.9967 [1 per cell]
O 0.0751 0.0051 0.6654 [1 per cell]
O 0.0754 0.9815 0.3435 [1 per cell]
O 0.2168 0.1962 0.0871 [1 per cell]
O 0.2290 0.2240 0.9203 [1 per cell]
O 0.2287 0.2596 0.4350 [1 per cell]
O 0.2370 0.2612 0.5720 [1 per cell]
O 0.2554 0.2708 0.2518 [1 per cell]
O 0.2576 0.2733 0.7604 [1 per cell]
O 0.2600 0.6995 0.9204 [1 per cell]
O 0.2649 0.7700 0.2522 [1 per cell]
O 0.2666 0.7707 0.7591 [1 per cell]
O 0.2824 0.7615 0.5739 [1 per cell]
O 0.2865 0.7596 0.4334 [1 per cell]
O 0.2982 0.6923 0.0865 [1 per cell]
O 0.4417 0.4706 0.3436 [1 per cell]
O 0.4486 0.4889 0.6658 [1 per cell]
O 0.4636 0.9524 0.0029 [1 per cell]
O 0.5572 0.4865 0.5026 [1 per cell]
O 0.5581 0.9826 0.8440 [1 per cell]
O 0.5657 0.9898 0.1636 [1 per cell]
O 0.7130 0.1873 0.4159 [1 per cell]
O 0.7268 0.2079 0.5892 [1 per cell]
O 0.7271 0.2628 0.0702 [1 per cell]
O 0.7458 0.2486 0.9352 [1 per cell]
O 0.7564 0.2731 0.2557 [1 per cell]
O 0.7603 0.2742 0.7573 [1 per cell]
O 0.7652 0.7723 0.2561 [1 per cell]
O 0.7674 0.7234 0.9335 [1 per cell]
O 0.7675 0.7706 0.7564 [1 per cell]
O 0.7883 0.7649 0.0726 [1 per cell]
O 0.7927 0.7077 0.5916 [1 per cell]
O 0.8018 0.6874 0.4145 [1 per cell]
O 0.9520 0.4616 0.8544 [1 per cell]
O 0.9527 0.4964 0.1627 [1 per cell]
O 0.9604 0.9770 0.5026 [1 per cell]

***

Structure and computed PXRD pattern of LaAl2Hg (a DFT-relaxed cell (GGA-PBE, OQMD); Cu Kα (weighted mean of Kα1 and Kα2)).
No peak broadening, texture or thermal motion is included.

Peak list (8 most intense, 2θ = 5–70°, in order of falling intensity)
- 2θ = 35.8°, I = 100, (1 2 2)
- 2θ = 14.9°, I = 73, (0 1 1)
- 2θ = 24.3°, I = 60, (1 1 1)
- 2θ = 36.0°, I = 49, (1 4 0)
- 2θ = 32.5°, I = 37, (1 3 1)
- 2θ = 68.0°, I = 34, (2 6 2)
- 2θ = 38.6°, I = 29, (2 0 0)
- 2θ = 30.0°, I = 24, (0 2 2)

Crystal structure
a b c (Å): 4.6622 11.8161 6.8846
angles (deg): 90.00 90.00 90.00
Space group Ama2 (No. 40)
Asymmetric unit:
La 0.2500 0.1658 0.0000 [4 per cell]
Al 0.2500 0.1409 0.5174 [4 per cell]
Al 0.2500 0.4303 0.2184 [4 per cell]
Hg 0.2500 0.4163 0.7872 [4 per cell]

***

Structure and computed PXRD pattern of KPrP4O12 (a DFT-relaxed cell (GGA-PBE, OQMD); Cu Kα (weighted mean of Kα1 and Kα2)).
No peak broadening, texture or thermal motion is included.

Peak list (8 most intense, 2θ = 5–70°, in order of falling intensity)
- 2θ = 26.0°, I = 100, (1 1 2)
- 2θ = 17.0°, I = 94, (0 2 1)
- 2θ = 28.1°, I = 93, (1 3 -2)
- 2θ = 19.1°, I = 50, (1 1 -2)
- 2θ = 38.2°, I = 47, (2 4 0)
- 2θ = 14.2°, I = 41, (1 1 -1)
- 2θ = 27.9°, I = 34, (1 3 1)
- 2θ = 24.6°, I = 31, (2 0 -2)

Crystal structure
a b c (Å): 7.8286 12.2911 10.6039
angles (deg): 90.00 110.65 90.00
Space group C2/c (No. 15)
Asymmetric unit:
K 0.0000 0.1823 0.2500 [4 per cell]
Pr 0.0000 0.1204 0.7500 [4 per cell]
P 0.0390 0.3256 0.0026 [8 per cell]
P 0.2138 0.4794 0.4366 [8 per cell]
O 0.0650 0.4242 0.9130 [8 per cell]
O 0.0731 0.2414 0.5933 [8 per cell]
O 0.0858 0.3740 0.4170 [8 per cell]
O 0.1547 0.0164 0.4210 [8 per cell]
O 0.2111 0.2914 0.1130 [8 per cell]
O 0.2210 0.0180 0.6793 [8 per cell]